Structure and calculated X-ray powder pattern of CsV2HgCl8 (a crystal structure in Alexandria, relaxed with PBE; Cu Kα (λ = 1.5418 Å)).

Atomic structure:
```
data_CsV2HgCl8
_space_group_name_H-M_alt 'R -3'
_space_group_IT_number 148
_space_group_name_Hall '-R 3'
_cell_length_a 7.4645
_cell_length_b 7.4645
_cell_length_c 29.2966
_cell_angle_alpha 90.00
_cell_angle_beta 90.00
_cell_angle_gamma 120.00
loop_
_atom_site_label
_atom_site_type_symbol
_atom_site_fract_x
_atom_site_fract_y
_atom_site_fract_z
Cs1 Cs 0.0000 0.0000 0.0000
V1 V 0.0000 0.0000 0.2606
Hg1 Hg 0.0000 0.0000 0.5000
Cl1 Cl 0.0000 0.0000 0.3357
Cl2 Cl 0.0145 0.4896 0.4303
```

Top 10 peaks for 5 to 70 degrees two-theta, most intense first:
2theta, intensity, h k l
18.30, 100, 1 0 4
30.16, 69, 1 1 6
23.84, 58, 1 1 0
28.00, 45, 0 1 8
38.85, 25, 3 -1 4
44.58, 23, 1 2 8
28.27, 22, 2 0 2
44.34, 22, 2 -1 12
48.80, 21, 2 2 0
27.77, 21, 0 2 1